[1]
# Th2ScPd9
Theoretical X-ray powder pattern, Cu Kα X-rays. Input: a crystal structure in Alexandria, relaxed with PBE.
Intensities are scaled so that the largest is 1000.

Structural model:
```
Th2ScPd9
1.0
4.1626 0.0000 0.0000
0.0000 4.1626 0.0000
0.0000 0.0000 12.3742
Th Sc Pd
2 1 9
Direct
0.0000 0.0000 0.1748
0.0000 0.0000 0.8252
0.0000 0.0000 0.5000
0.0000 0.5000 0.0000
0.0000 0.5000 0.3422
0.0000 0.5000 0.6578
0.5000 0.0000 0.0000
0.5000 0.0000 0.3422
0.5000 0.0000 0.6578
0.5000 0.5000 0.1700
0.5000 0.5000 0.5000
0.5000 0.5000 0.8300
```

Peak list (10 most intense, 15° ≤ 2θ ≤ 90°, most intense first)
37.54°, 2.396 Å, intensity 1000
43.48°, 2.081 Å, intensity 335
75.87°, 1.254 Å, intensity 251
63.50°, 1.465 Å, intensity 202
43.90°, 2.062 Å, intensity 153
63.18°, 1.472 Å, intensity 109
76.47°, 1.246 Å, intensity 108
80.11°, 1.198 Å, intensity 104
25.80°, 3.454 Å, intensity 53
33.72°, 2.658 Å, intensity 45

[2]
# Th2ScPd7
Theoretical X-ray powder pattern, Cu Kα X-rays. Input: a crystal structure in Alexandria, relaxed with PBE.
Intensities are scaled so that the largest is 1000.

Structural model:
```
Th2ScPd7
1.0
0.0000 4.2569 8.6068
2.8177 0.0000 8.6068
2.8177 4.2569 0.0000
Th Sc Pd
2 1 7
Direct
0.1659 0.1659 0.8341
0.8341 0.8341 0.1659
0.5000 0.5000 0.5000
0.0000 0.0000 0.0000
0.0813 0.0813 0.4187
0.2500 0.2500 0.2500
0.4187 0.4187 0.0813
0.5813 0.5813 0.9187
0.7500 0.7500 0.7500
0.9187 0.9187 0.5813
```

Peak list (10 most intense, 15° ≤ 2θ ≤ 90°, most intense first)
37.82°, 2.379 Å, intensity 1000
38.31°, 2.350 Å, intensity 967
45.10°, 2.010 Å, intensity 606
24.49°, 3.636 Å, intensity 571
19.58°, 4.533 Å, intensity 553
63.67°, 1.461 Å, intensity 430
42.47°, 2.128 Å, intensity 361
78.98°, 1.212 Å, intensity 255
78.05°, 1.224 Å, intensity 237
38.84°, 2.319 Å, intensity 176

[3]
# ThSc2Pd4
Theoretical X-ray powder pattern, Cu Kα X-rays. Input: a crystal structure in Alexandria, relaxed with PBE.
Intensities are scaled so that the largest is 1000.

Structural model:
```
ThSc2Pd4
1.0
4.7175 0.0000 0.0000
0.0000 4.7175 0.0000
0.0000 0.0000 6.6425
Th Sc Pd
1 2 4
Direct
0.0000 0.0000 0.0000
0.0000 0.0000 0.5000
0.5000 0.5000 0.0000
0.0000 0.5000 0.2684
0.0000 0.5000 0.7316
0.5000 0.0000 0.2684
0.5000 0.0000 0.7316
```

Peak list (10 most intense, 15° ≤ 2θ ≤ 90°, most intense first)
38.21°, 2.355 Å, intensity 1000
69.01°, 1.361 Å, intensity 226
18.81°, 4.717 Å, intensity 177
29.98°, 2.981 Å, intensity 174
55.06°, 1.668 Å, intensity 116
69.19°, 1.358 Å, intensity 102
32.98°, 2.716 Å, intensity 91
23.12°, 3.846 Å, intensity 73
81.85°, 1.177 Å, intensity 64
51.30°, 1.781 Å, intensity 54

[4]
# ScTiPd4
Theoretical X-ray powder pattern, Cu Kα X-rays. Input: a crystal structure in Alexandria, relaxed with PBE.
Intensities are scaled so that the largest is 1000.

Structural model:
```
ScTiPd4
1.0
2.3602 -4.4234 0.0000
2.3602 4.4234 0.0000
-0.5856 0.0000 4.6716
Sc Ti Pd
1 1 4
Direct
0.0000 0.0000 0.0000
0.5000 0.5000 0.5000
0.1612 0.8388 0.5000
0.3423 0.6577 0.0000
0.6577 0.3423 0.0000
0.8388 0.1612 0.5000
```

Peak list (10 most intense, 15° ≤ 2θ ≤ 90°, most intense first)
39.81°, 2.264 Å, intensity 1000
42.17°, 2.143 Å, intensity 846
38.44°, 2.342 Å, intensity 562
38.54°, 2.336 Å, intensity 558
76.35°, 1.247 Å, intensity 263
51.72°, 1.767 Å, intensity 232
27.17°, 3.282 Å, intensity 204
68.79°, 1.365 Å, intensity 188
68.93°, 1.362 Å, intensity 187
30.38°, 2.942 Å, intensity 153

[5]
# ScTi5Pd6
Theoretical X-ray powder pattern, Cu Kα X-rays. Input: a crystal structure in Alexandria, relaxed with PBE.
Intensities are scaled so that the largest is 1000.

Structural model:
```
ScTi5Pd6
1.0
-2.0407 3.8408 6.1347
2.0407 -3.8408 6.1347
2.0407 3.8408 -6.1347
Sc Ti Pd
1 5 6
Direct
0.0000 0.0000 0.0000
0.1822 0.6822 0.5000
0.3405 0.3405 0.0000
0.5000 0.0000 0.5000
0.6595 0.6595 0.0000
0.8178 0.3178 0.5000
0.0775 0.8321 0.2454
0.2446 0.5000 0.7446
0.4133 0.1679 0.2454
0.5867 0.8321 0.7546
0.7554 0.5000 0.2554
0.9225 0.1679 0.7546
```

Peak list (10 most intense, 15° ≤ 2θ ≤ 90°, most intense first)
39.01°, 2.309 Å, intensity 1000
44.34°, 2.043 Å, intensity 343
66.87°, 1.399 Å, intensity 188
30.95°, 2.889 Å, intensity 152
23.16°, 3.841 Å, intensity 152
47.34°, 1.920 Å, intensity 141
78.10°, 1.224 Å, intensity 120
77.97°, 1.225 Å, intensity 112
64.51°, 1.445 Å, intensity 106
82.39°, 1.170 Å, intensity 102

[6]
# Sc2TlPd6
Theoretical X-ray powder pattern, Cu Kα X-rays. Input: a crystal structure in Alexandria, relaxed with PBE.
Intensities are scaled so that the largest is 1000.

Structural model:
```
Sc2TlPd6
1.0
7.1536 -3.7969 0.0000
7.1536 3.7969 0.0000
-0.6511 0.0000 3.0157
Sc Tl Pd
2 1 6
Direct
0.1658 0.1658 0.1674
0.8342 0.8342 0.8326
0.5000 0.5000 0.5000
0.1277 0.5359 0.3310
0.1861 0.8139 0.0000
0.4641 0.8723 0.6690
0.5359 0.1277 0.3310
0.8139 0.1861 0.0000
0.8723 0.4641 0.6690
```

Peak list (10 most intense, 15° ≤ 2θ ≤ 90°, most intense first)
40.55°, 2.224 Å, intensity 1000
42.38°, 2.133 Å, intensity 842
42.51°, 2.127 Å, intensity 835
38.63°, 2.331 Å, intensity 750
31.29°, 2.858 Å, intensity 749
68.91°, 1.363 Å, intensity 251
34.82°, 2.576 Å, intensity 216
59.97°, 1.543 Å, intensity 202
50.41°, 1.810 Å, intensity 193
71.20°, 1.324 Å, intensity 192